Record 1
Theoretical X-ray powder pattern
Compound: Tb2Dy3ThTe6
Radiation: CuKα
Structure: DFT lattice parameters and positions (GGA-PBE)
Neutral-atom scattering factors, no anomalous dispersion.

Peak list (12 most intense, 2θ = 5–70°, sorted by position)
2θ (°), d/Å, Rel. int., index
28.82, 3.098, 100, 1 1 -2
40.78, 2.213, 26, 5 1 2
40.89, 2.207, 13, 2 0 -4
41.60, 2.171, 37, 0 2 0
50.05, 1.822, 7, 4 0 4
51.36, 1.779, 13, 6 2 0
51.48, 1.775, 6, 8 0 -4
59.62, 1.551, 4, 12 0 0
59.73, 1.548, 9, 2 2 -4
67.00, 1.397, 11, 4 2 4
67.17, 1.394, 6, 3 1 -6
68.18, 1.375, 16, 1 3 -2

Crystal structure
a b c (Å): 19.0128 4.3438 8.8324
angles (deg): 90.00 101.83 90.00
Space group C2/m (No. 12)
Symmetry-distinct sites (fractional):
Tb 0.1632 0.0000 0.3309 x4
Dy 0.0000 0.5000 0.5000 x2
Dy 0.1599 0.0000 0.8370 x4
Th 0.0000 0.5000 0.0000 x2
Te 0.0011 0.0000 0.2606 x4
Te 0.1682 0.5000 0.5874 x4
Te 0.1728 0.5000 0.0879 x4

---

Record 2
Theoretical X-ray powder pattern
Compound: TbDyTm2Te6
Radiation: CuKα
Structure: DFT lattice parameters and positions (GGA-PBE)
Neutral-atom scattering factors, no anomalous dispersion.

Peak list (12 most intense, 2θ = 5–70°, sorted by position)
2θ (°), d/Å, Rel. int., index
15.82, 5.602, 35, 0 1 2
21.62, 4.111, 27, 1 0 4
23.24, 3.827, 12, 1 1 0
26.55, 3.357, 85, 2 -1 3
31.95, 2.801, 20, 0 2 4
34.77, 2.580, 100, 2 -1 6
39.88, 2.260, 17, 3 -1 4
40.84, 2.210, 62, 3 0 0
45.60, 1.990, 19, 1 1 9
49.38, 1.846, 14, 2 2 3
54.69, 1.678, 27, 2 2 6
68.47, 1.370, 21, 3 0 12

Crystal structure
a b c (Å): 7.6546 7.6546 20.9612
angles (deg): 90.00 90.00 120.00
Space group R3 (No. 146, hexagonal axes)
Symmetry-distinct sites (fractional):
Tb 0.0000 0.0000 0.0000 x3
Dy 0.0000 0.0000 0.5000 x3
Tm 0.0000 0.0000 0.1854 x3
Tm 0.0000 0.0000 0.6854 x3
Te 0.0220 0.6735 0.7611 x9
Te 0.0234 0.3494 0.2607 x9

---

Record 3
Theoretical X-ray powder pattern
Compound: Tb3DyY3Te8
Radiation: CuKα
Structure: DFT lattice parameters and positions (GGA-PBE)
Neutral-atom scattering factors, no anomalous dispersion.

Peak list (12 most intense, 2θ = 5–70°, sorted by position)
2θ (°), d/Å, Rel. int., index
12.45, 7.107, 8, 1 0 1
23.98, 3.711, 7, 1 1 3
29.02, 3.077, 100, 0 2 4
31.68, 2.824, 5, 1 0 7
37.98, 2.369, 3, 3 0 3
41.50, 2.176, 75, 2 2 0
43.49, 2.081, 2, 2 1 7
51.43, 1.777, 27, 4 0 4
53.14, 1.724, 1, 1 3 7
57.51, 1.603, 3, 1 2 11
60.14, 1.539, 12, 0 4 8
68.13, 1.376, 34, 2 4 4

Crystal structure
a b c (Å): 8.7045 8.7045 21.3187
angles (deg): 90.00 90.00 120.00
Space group R-3m (No. 166, hexagonal axes)
Symmetry-distinct sites (fractional):
Tb 0.0000 0.5000 0.0000 x9
Dy 0.0000 0.0000 0.5000 x3
Y 0.0000 0.5000 0.5000 x9
Te 0.0000 0.0000 0.2498 x6
Te 0.0069 0.5034 0.7485 x18

---

Record 4
Theoretical X-ray powder pattern
Compound: Tb3Dy4Th2
Radiation: CuKα
Structure: DFT lattice parameters and positions (GGA-PBE)
Neutral-atom scattering factors, no anomalous dispersion.

Peak list (12 most intense, 2θ = 5–70°, sorted by position)
2θ (°), d/Å, Rel. int., index
28.94, 3.085, 41, 3 1 -1
31.32, 2.856, 47, 0 0 3
31.99, 2.798, 100, 6 0 0
33.70, 2.660, 83, 6 0 -3
40.38, 2.234, 20, 3 1 2
50.89, 1.794, 37, 0 2 0
55.04, 1.668, 23, 6 0 3
58.37, 1.581, 16, 6 0 -6
60.95, 1.520, 29, 9 1 1
61.05, 1.518, 14, 9 1 -5
61.35, 1.511, 11, 6 2 0
62.43, 1.487, 14, 6 2 -3

Crystal structure
a b c (Å): 18.6366 3.5906 9.5096
angles (deg): 90.00 115.70 90.00
Space group C2/m (No. 12)
Symmetry-distinct sites (fractional):
Tb 0.0000 0.0000 0.0000 x2
Tb 0.1494 0.0000 0.6713 x4
Dy 0.0180 0.5000 0.3325 x4
Dy 0.1848 0.0000 0.3300 x4
Th 0.1679 0.5000 0.0006 x4

---

Record 5
Theoretical X-ray powder pattern
Compound: Tb2Dy7Th
Radiation: CuKα
Structure: DFT lattice parameters and positions (GGA-PBE)
Neutral-atom scattering factors, no anomalous dispersion.

Peak list (12 most intense, 2θ = 5–70°, sorted by position)
2θ (°), d/Å, Rel. int., index
15.25, 5.811, 9, 0 2 0
26.38, 3.378, 12, 0 2 4
29.83, 2.995, 9, 1 0 3
30.77, 2.906, 33, 0 4 0
32.34, 2.768, 25, 0 0 6
33.63, 2.665, 100, 1 2 3
45.25, 2.004, 20, 0 4 6
51.20, 1.784, 8, 2 0 0
56.56, 1.627, 23, 1 6 3
58.51, 1.578, 19, 1 2 9
60.93, 1.520, 9, 2 4 0
61.87, 1.500, 8, 2 0 6

Crystal structure
a b c (Å): 3.5686 11.6221 16.6080
angles (deg): 90.00 90.00 90.00
Space group Immm (No. 71)
Symmetry-distinct sites (fractional):
Tb 0.0000 0.0000 0.1680 x4
Dy 0.0000 0.0000 0.5000 x2
Dy 0.0000 0.2493 0.3480 x8
Dy 0.0000 0.5000 0.1686 x4
Th 0.0000 0.5000 0.5000 x2

---

Record 6
Theoretical X-ray powder pattern
Compound: Tb5Dy2Th3
Radiation: CuKα
Structure: DFT lattice parameters and positions (GGA-PBE)
Neutral-atom scattering factors, no anomalous dispersion.

Peak list (12 most intense, 2θ = 5–70°, sorted by position)
2θ (°), d/Å, Rel. int., index
7.83, 11.293, 2, 0 0 1
30.73, 2.910, 100, 1 1 3
35.47, 2.531, 17, 2 0 -4
35.61, 2.521, 17, 0 2 0
35.81, 2.507, 17, 4 0 2
51.14, 1.786, 12, 2 2 -4
51.29, 1.781, 12, 2 0 6
51.39, 1.778, 12, 4 2 2
60.76, 1.524, 15, 5 1 -5
60.94, 1.520, 15, 1 3 3
61.22, 1.514, 14, 7 1 1
64.00, 1.455, 13, 2 2 6

Crystal structure
a b c (Å): 11.2380 5.0428 11.2938
angles (deg): 90.00 90.45 90.00
Space group C2/m (No. 12)
Symmetry-distinct sites (fractional):
Tb 0.0000 0.0000 0.0000 x2
Tb 0.1991 0.5000 0.1015 x4
Tb 0.1996 0.0000 0.5994 x4
Dy 0.0976 0.5000 0.7975 x4
Th 0.0000 0.5000 0.5000 x2
Th 0.0985 0.0000 0.3001 x4

---

Record 7
Theoretical X-ray powder pattern
Compound: TbDy4Th4
Radiation: CuKα
Structure: DFT lattice parameters and positions (GGA-PBE)
Neutral-atom scattering factors, no anomalous dispersion.

Peak list (10 most intense, 2θ = 5–70°, sorted by position)
2θ (°), d/Å, Rel. int., index
11.72, 7.554, 3, 1 1 0
25.70, 3.467, 2, 2 1 1
30.75, 2.908, 100, 3 0 1
35.65, 2.518, 51, 3 3 0
37.65, 2.389, 1, 4 2 0
39.09, 2.304, 1, 4 1 1
51.30, 1.781, 37, 6 0 0
61.01, 1.519, 44, 3 0 3
64.04, 1.454, 13, 6 0 2
66.33, 1.409, 1, 7 2 1

Crystal structure
a b c (Å): 10.6828 10.6828 5.0390
angles (deg): 90.00 90.00 90.00
Space group I4/mmm (No. 139)
Symmetry-distinct sites (fractional):
Tb 0.0000 0.0000 0.0000 x2
Dy 0.1686 0.1686 0.5000 x8
Th 0.0000 0.3353 0.0000 x8

---

Record 8
Theoretical X-ray powder pattern
Compound: Tb2Dy6Th3
Radiation: CuKα
Structure: DFT lattice parameters and positions (GGA-PBE)
Neutral-atom scattering factors, no anomalous dispersion.

Peak list (12 most intense, 2θ = 5–70°, sorted by position)
2θ (°), d/Å, Rel. int., index
13.98, 6.333, 2, 0 0 15
29.16, 3.062, 1, 1 0 4
30.75, 2.908, 100, 0 1 11
31.07, 2.879, 32, 0 0 33
35.75, 2.512, 67, 1 0 22
51.24, 1.783, 25, 1 1 0
51.66, 1.769, 24, 0 1 44
60.95, 1.520, 15, 2 0 11
61.14, 1.516, 29, 1 1 33
61.52, 1.507, 14, 1 0 55
64.04, 1.454, 13, 0 2 22
64.77, 1.439, 4, 0 0 66

Crystal structure
a b c (Å): 3.5659 3.5659 94.9922
angles (deg): 90.00 90.00 120.00
Space group R-3m (No. 166, hexagonal axes)
Symmetry-distinct sites (fractional):
Tb 0.0000 0.0000 0.0454 x6
Dy 0.0000 0.0000 0.1365 x6
Dy 0.0000 0.0000 0.3181 x6
Dy 0.0000 0.0000 0.4099 x6
Th 0.0000 0.0000 0.2272 x6
Th 0.0000 0.0000 0.5000 x3

---

Record 9
Theoretical X-ray powder pattern
Compound: TbDy9Th2
Radiation: CuKα
Structure: DFT lattice parameters and positions (GGA-PBE)
Neutral-atom scattering factors, no anomalous dispersion.

Peak list (12 most intense, 2θ = 5–70°, sorted by position)
2θ (°), d/Å, Rel. int., index
27.23, 3.275, 6, 1 0 1
30.17, 2.962, 23, 1 1 1
31.58, 2.833, 100, 2 2 0
35.40, 2.536, 12, 2 1 1
37.77, 2.382, 13, 3 0 1
45.25, 2.004, 10, 4 0 1
50.04, 1.823, 11, 4 1 1
52.68, 1.737, 6, 0 0 2
56.24, 1.636, 24, 6 0 0
62.73, 1.481, 21, 2 2 2
65.16, 1.432, 5, 5 2 1
65.96, 1.416, 8, 4 4 0

Crystal structure
a b c (Å): 11.3304 11.3304 3.4750
angles (deg): 90.00 90.00 120.00
Space group P6/mmm (No. 191)
Symmetry-distinct sites (fractional):
Tb 0.0000 0.0000 0.0000 x1
Dy 0.0000 0.5000 0.0000 x3
Dy 0.1736 0.3471 0.5000 x6
Th 0.3333 0.6667 0.0000 x2

---

Record 10
Theoretical X-ray powder pattern
Compound: Tb4Dy2Th3
Radiation: CuKα
Structure: DFT lattice parameters and positions (GGA-PBE)
Neutral-atom scattering factors, no anomalous dispersion.

Peak list (12 most intense, 2θ = 5–70°, sorted by position)
2θ (°), d/Å, Rel. int., index
10.01, 8.841, 12, 0 0 3
28.96, 3.083, 48, 1 0 0
30.33, 2.947, 53, 0 0 9
30.71, 2.911, 14, 1 0 3
32.01, 2.796, 73, 1 0 4
33.62, 2.666, 100, 0 1 5
42.43, 2.130, 33, 0 1 9
51.32, 1.780, 39, 1 1 0
57.06, 1.614, 31, 1 0 14
60.79, 1.524, 45, 1 1 9
61.78, 1.502, 11, 0 2 4
62.76, 1.480, 17, 2 0 5

Crystal structure
a b c (Å): 3.5604 3.5604 26.5215
angles (deg): 90.00 90.00 120.00
Space group P3m1 (No. 156)
Symmetry-distinct sites (fractional):
Tb 0.0000 0.0000 0.0000 x1
Tb 0.0000 0.0000 0.2184 x1
Tb 0.3333 0.6667 0.3275 x1
Tb 0.3333 0.6667 0.5480 x1
Dy 0.0000 0.0000 0.6564 x1
Dy 0.0000 0.0000 0.8744 x1
Th 0.0000 0.0000 0.4376 x1
Th 0.3333 0.6667 0.1070 x1
Th 0.3333 0.6667 0.7678 x1

---

Record 11
Theoretical X-ray powder pattern
Compound: Tb2Dy5Th2
Radiation: CuKα
Structure: DFT lattice parameters and positions (GGA-PBE)
Neutral-atom scattering factors, no anomalous dispersion.

Peak list (12 most intense, 2θ = 5–70°, sorted by position)
2θ (°), d/Å, Rel. int., index
7.93, 11.152, 36, 2 0 0
11.14, 7.942, 28, 0 0 1
24.70, 3.604, 26, 6 0 -1
28.06, 3.180, 31, 1 1 -1
28.59, 3.122, 23, 1 1 1
29.74, 3.004, 100, 4 0 2
32.22, 2.779, 49, 8 0 -1
33.47, 2.678, 32, 2 0 -3
35.01, 2.563, 27, 4 0 -3
35.12, 2.555, 60, 3 1 -2
35.73, 2.513, 80, 5 1 1
53.93, 1.700, 23, 1 1 4

Crystal structure
a b c (Å): 22.6172 3.4738 8.0539
angles (deg): 90.00 99.55 90.00
Space group C2/m (No. 12)
Symmetry-distinct sites (fractional):
Tb 0.1706 0.0000 0.1608 x4
Dy 0.0000 0.0000 0.0000 x2
Dy 0.0909 0.0000 0.7312 x4
Dy 0.1930 0.5000 0.5489 x4
Th 0.0529 0.5000 0.3547 x4

---

Record 12
Theoretical X-ray powder pattern
Compound: TbDy12Th2
Radiation: CuKα
Structure: DFT lattice parameters and positions (GGA-PBE)
Neutral-atom scattering factors, no anomalous dispersion.

Peak list (12 most intense, 2θ = 5–70°, sorted by position)
2θ (°), d/Å, Rel. int., index
30.15, 2.964, 89, 0 2 7
30.49, 2.932, 36, 2 2 -2
30.50, 2.931, 28, 2 2 1
31.38, 2.851, 74, 2 2 2
32.21, 2.779, 100, 0 4 0
32.35, 2.768, 64, 2 0 5
32.66, 2.742, 99, 2 2 3
33.37, 2.685, 68, 0 2 8
43.42, 2.084, 30, 2 0 9
46.29, 1.961, 46, 2 4 5
51.81, 1.765, 27, 4 0 -1
62.33, 1.490, 30, 4 4 -1

Crystal structure
a b c (Å): 7.0586 11.1180 24.5943
angles (deg): 90.00 94.17 90.00
Space group C2/m (No. 12)
Symmetry-distinct sites (fractional):
Tb 0.2499 0.0000 0.0000 x4
Dy 0.0193 0.2499 0.0734 x8
Dy 0.1101 0.2399 0.4451 x8
Dy 0.1489 0.5000 0.5900 x4
Dy 0.1611 0.0000 0.5649 x4
Dy 0.1670 0.2379 0.6698 x8
Dy 0.1985 0.2472 0.7988 x8
Dy 0.2139 0.0000 0.8648 x4
Dy 0.2148 0.5000 0.8641 x4
Th 0.0583 0.5000 0.2682 x4
Th 0.0778 0.0000 0.2691 x4

---

Record 13
Theoretical X-ray powder pattern
Compound: Tb2Dy4Th
Radiation: CuKα
Structure: DFT lattice parameters and positions (GGA-PBE)
Neutral-atom scattering factors, no anomalous dispersion.

Peak list (12 most intense, 2θ = 5–70°, sorted by position)
2θ (°), d/Å, Rel. int., index
28.76, 3.104, 38, 1 0 1
31.21, 2.866, 58, 0 0 21
32.42, 2.762, 100, 1 0 10
33.15, 2.703, 94, 0 1 11
41.78, 2.162, 14, 0 1 20
44.10, 2.053, 12, 1 0 22
50.88, 1.795, 41, 1 1 0
55.84, 1.647, 22, 1 0 31
57.26, 1.609, 20, 0 1 32
60.91, 1.521, 48, 1 1 21
61.63, 1.505, 16, 0 2 10
62.08, 1.495, 16, 2 0 11

Crystal structure
a b c (Å): 3.5893 3.5893 60.1778
angles (deg): 90.00 90.00 120.00
Space group R3m (No. 160, hexagonal axes)
Symmetry-distinct sites (fractional):
Tb 0.0000 0.0000 0.0000 x3
Tb 0.0000 0.0000 0.0948 x3
Dy 0.0000 0.0000 0.1896 x3
Dy 0.0000 0.0000 0.2857 x3
Dy 0.0000 0.0000 0.7141 x3
Dy 0.0000 0.0000 0.8089 x3
Th 0.0000 0.0000 0.9042 x3